No. 1
Computed XRD peak list of BeTc5 for Cu Kα, from DFT lattice parameters and positions (GGA-PBE).
No peak broadening, texture or thermal motion is included.

Principal peaks in the range 5° ≤ 2θ ≤ 70°, in order of rising 2θ:
20.3 deg, intensity 58, (0 0 1); 22.0 deg, intensity 98, (1 0 0); 30.1 deg, intensity 182, (1 0 1); 38.5 deg, intensity 265, (1 1 0); 41.3 deg, intensity 266, (0 0 2); 43.9 deg, intensity 1000, (1 1 1); 44.8 deg, intensity 38, (2 0 0); 57.8 deg, intensity 158, (1 1 2); 64.6 deg, intensity 28, (2 1 1); 69.7 deg, intensity 158, (3 0 0)

```
data_BeTc5
_chemical_formula_sum 'Be1 Tc5'
_space_group_name_H-M_alt 'P -6 2 m'
_space_group_IT_number 189
_space_group_name_Hall 'P -6 -2'
_cell_length_a 4.6729
_cell_length_b 4.6729
_cell_length_c 4.3688
_cell_angle_alpha 90.00
_cell_angle_beta 90.00
_cell_angle_gamma 120.00
loop_
_atom_site_label
_atom_site_type_symbol
_atom_site_fract_x
_atom_site_fract_y
_atom_site_fract_z
Be1 Be 0.0000 0.0000 0.0000
Tc1 Tc 0.0000 0.6814 0.5000
Tc2 Tc 0.3333 0.6667 0.0000
```



No. 2
Computed XRD peak list of CaSi2Au8 for Cu Kα, from DFT lattice parameters and positions (GGA-PBE).
No peak broadening, texture or thermal motion is included.

Principal peaks in the range 5° ≤ 2θ ≤ 70°, in order of rising 2θ:
23.7 deg, intensity 265, (1 1 1); 31.0 deg, intensity 1000, (2 0 1); 31.9 deg, intensity 265, (2 2 -1); 36.3 deg, intensity 900, (0 4 1); 37.8 deg, intensity 246, (1 1 -2); 38.5 deg, intensity 366, (3 1 -1); 39.2 deg, intensity 421, (2 4 0); 39.7 deg, intensity 211, (0 2 2); 41.1 deg, intensity 225, (1 5 0); 42.4 deg, intensity 249, (3 3 0)

```
data_CaSi2Au8
_chemical_formula_sum 'Ca2 Si4 Au16'
_space_group_name_H-M_alt 'C 1 2/m 1'
_space_group_IT_number 12
_space_group_name_Hall '-C 2y'
_cell_length_a 7.7512
_cell_length_b 11.4559
_cell_length_c 4.9751
_cell_angle_alpha 90.00
_cell_angle_beta 96.36
_cell_angle_gamma 90.00
loop_
_atom_site_label
_atom_site_type_symbol
_atom_site_fract_x
_atom_site_fract_y
_atom_site_fract_z
Ca1 Ca 0.0000 0.0000 0.0000
Si1 Si 0.0000 0.3120 0.5000
Au1 Au 0.0000 0.2732 0.0000
Au2 Au 0.0947 0.5000 0.7853
Au3 Au 0.1829 0.1271 0.5322
```